The following is a calculated powder X-ray diffraction pattern of MnPO4. It was derived from a structure optimized by DFT (PBE+U), using Cu Kα.
No peak broadening, texture or thermal motion is included.

Most intense lines, 10° ≤ 2θ ≤ 90°, low angle first:
d_spacing, intensity, (hkl)
8.546, 503, 0 0 1
4.226, 598, 0 1 1
4.019, 469, 1 1 -1
3.572, 535, 2 0 -2
3.487, 803, 1 1 1
3.163, 1000, 2 1 -1

Structural model:
a = 8.394 Å, b = 4.862 Å, c = 9.098 Å
α = 90.00°, β = 110.05°, γ = 90.00°
Atoms (fractional coordinates):
Mn 0.014 0.000 0.178
Mn 0.462 0.351 0.743
Mn 0.538 0.851 0.257
Mn 0.986 0.500 0.822
P 0.242 0.041 0.929
P 0.248 0.520 0.369
P 0.752 0.020 0.631
P 0.758 0.541 0.071
O 0.095 0.718 0.334
O 0.105 0.209 0.974
O 0.178 0.747 0.884
O 0.190 0.226 0.312
O 0.274 0.191 0.793
O 0.340 0.514 0.548
O 0.369 0.618 0.284
O 0.410 0.034 0.071
O 0.590 0.534 0.929
O 0.631 0.118 0.716
O 0.660 0.014 0.452
O 0.726 0.691 0.207
O 0.810 0.726 0.688
O 0.822 0.247 0.116
O 0.895 0.709 0.026
O 0.905 0.218 0.666